Simulated powder X-ray diffraction pattern of Ac4Pd2Pt for a wavelength of 1.5418 Å, from DFT lattice parameters and positions (PBE).
Lines closer than 0.1° are merged.

Most intense lines, 10 to 90 degrees two-theta, in order of rising 2θ:
| two_theta | I_rel |
| --- | --- |
| 13.12 | 22 |
| 26.19 | 100 |
| 26.42 | 51 |
| 34.39 | 64 |
| 34.57 | 29 |
| 40.02 | 26 |
| 40.48 | 46 |
| 45.18 | 24 |
| 48.59 | 20 |
| 67.93 | 19 |

Cell and atoms:
Lattice parameters (Å, degrees): 16.020 4.506 7.692 90.00 118.64 90.00
Space group C2/m (No. 12)
Symmetry-distinct sites (fractional):
1 Ac 0.127 0.000 0.473 [4 per cell]
2 Ac 0.131 0.500 0.955 [4 per cell]
3 Pd 0.243 0.000 0.242 [4 per cell]
4 Pt 0.000 0.500 0.500 [2 per cell]